# 1
The following is a computed powder XRD pattern of Tm. It was derived from a cell relaxed with PBE, using Cu Kα X-rays.

Unit cell a=3.505 b=3.505 c=11.301 alpha=90.00 beta=90.00 gamma=120.00
Element x y z (fractional)
Tm: 0.000 0.000 0.000
Tm: 0.000 0.000 0.500
Tm: 0.333 0.667 0.250
Tm: 0.667 0.333 0.750

Top 10 peaks for 2θ = 10–90°, by angle:
30.50 deg, rel. 42.7
31.67 deg, rel. 34.4
33.51 deg, rel. 100.0
38.07 deg, rel. 23.6
52.20 deg, rel. 25.6
57.59 deg, rel. 21.5
62.35 deg, rel. 30.1
63.47 deg, rel. 16.0
86.58 deg, rel. 14.0
89.01 deg, rel. 11.9

# 2
The following is a computed powder XRD pattern of Tm. It was derived from a cell relaxed with PBE, using Cu Kα X-rays.

Unit cell a=3.488 b=3.488 c=3.488 alpha=60.00 beta=60.00 gamma=60.00
Element x y z (fractional)
Tm: 0.000 0.000 0.000

Top 8 peaks for 2θ = 10–90°, by angle:
31.41 deg, rel. 100.0
36.43 deg, rel. 50.6
52.47 deg, rel. 35.9
62.44 deg, rel. 42.6
65.55 deg, rel. 12.3
77.38 deg, rel. 5.8
85.88 deg, rel. 18.1
88.68 deg, rel. 17.0

# 3
The following is a computed powder XRD pattern of Tm. It was derived from a cell relaxed with PBE, using Cu Kα X-rays.

Unit cell a=8.657 b=8.657 c=8.657 alpha=23.40 beta=23.40 gamma=23.40
Element x y z (fractional)
Tm: 0.000 0.000 0.000
Tm: 0.222 0.222 0.222
Tm: 0.778 0.778 0.778

Top 10 peaks for 2θ = 10–90°, by angle:
29.59 deg, rel. 37.1
31.90 deg, rel. 50.2
32.69 deg, rel. 100.0
34.42 deg, rel. 88.3
52.09 deg, rel. 38.3
56.19 deg, rel. 21.4
59.60 deg, rel. 18.6
62.39 deg, rel. 44.6
62.86 deg, rel. 15.4
89.41 deg, rel. 19.0

# 4
The following is a computed powder XRD pattern of TmU3. It was derived from a cell relaxed with PBE, using Cu Kα X-rays.

Unit cell a=6.369 b=6.369 c=5.346 alpha=90.00 beta=90.00 gamma=120.00
Element x y z (fractional)
Tm: 0.333 0.667 0.250
Tm: 0.667 0.333 0.750
U: 0.147 0.295 0.750
U: 0.147 0.853 0.750
U: 0.295 0.147 0.250
U: 0.705 0.853 0.750
U: 0.853 0.147 0.250
U: 0.853 0.705 0.250

Top 10 peaks for 2θ = 10–90°, by angle:
16.07 deg, rel. 11.6
32.46 deg, rel. 22.5
33.53 deg, rel. 30.8
36.67 deg, rel. 100.0
47.36 deg, rel. 16.1
52.64 deg, rel. 7.3
57.91 deg, rel. 15.0
62.01 deg, rel. 22.5
68.60 deg, rel. 18.4
70.51 deg, rel. 14.9

# 5
The following is a computed powder XRD pattern of Tm3V. It was derived from a cell relaxed with PBE, using Cu Kα X-rays.

Unit cell a=5.282 b=5.282 c=5.282 alpha=119.97 beta=119.97 gamma=90.05
Element x y z (fractional)
Tm: 0.000 0.000 0.000
Tm: 0.250 0.750 0.500
Tm: 0.750 0.250 0.500
V: 0.500 0.500 0.000

Top 10 peaks for 2θ = 10–90°, by angle:
20.59 deg, rel. 10.1
23.82 deg, rel. 5.4
33.94 deg, rel. 100.0
40.03 deg, rel. 5.8
48.76 deg, rel. 18.0
53.46 deg, rel. 2.6
54.96 deg, rel. 2.4
60.73 deg, rel. 37.3
71.43 deg, rel. 11.5
81.48 deg, rel. 16.2

# 6
The following is a computed powder XRD pattern of Tm3V. It was derived from a cell relaxed with PBE, using Cu Kα X-rays.

Unit cell a=5.441 b=5.441 c=5.441 alpha=124.70 beta=124.70 gamma=82.04
Element x y z (fractional)
Tm: 0.000 0.000 0.000
Tm: 0.250 0.750 0.500
Tm: 0.750 0.250 0.500
V: 0.500 0.500 0.000

Top 10 peaks for 2θ = 10–90°, by angle:
20.65 deg, rel. 14.2
33.25 deg, rel. 100.0
35.55 deg, rel. 41.8
44.12 deg, rel. 11.4
51.15 deg, rel. 14.8
57.89 deg, rel. 20.4
62.39 deg, rel. 32.5
69.81 deg, rel. 11.6
74.21 deg, rel. 9.8
84.80 deg, rel. 7.4

# 7
The following is a computed powder XRD pattern of YTm3. It was derived from a cell relaxed with PBE, using Cu Kα X-rays.

Unit cell a=7.169 b=7.169 c=5.586 alpha=90.00 beta=90.00 gamma=120.00
Element x y z (fractional)
Y: 0.333 0.667 0.250
Y: 0.667 0.333 0.750
Tm: 0.166 0.331 0.750
Tm: 0.166 0.834 0.750
Tm: 0.331 0.166 0.250
Tm: 0.669 0.834 0.750
Tm: 0.834 0.166 0.250
Tm: 0.834 0.669 0.250

Top 10 peaks for 2θ = 10–90°, by angle:
28.76 deg, rel. 23.9
32.05 deg, rel. 24.0
33.01 deg, rel. 100.0
43.59 deg, rel. 15.5
50.95 deg, rel. 19.7
57.74 deg, rel. 20.3
61.47 deg, rel. 22.4
62.06 deg, rel. 16.3
84.34 deg, rel. 14.0
88.82 deg, rel. 8.4

# 8
The following is a computed powder XRD pattern of TmZn2. It was derived from a cell relaxed with PBE, using Cu Kα X-rays.

Unit cell a=5.601 b=5.601 c=5.601 alpha=132.87 beta=102.61 gamma=95.82
Element x y z (fractional)
Tm: 0.281 0.031 0.250
Tm: 0.719 0.969 0.750
Zn: 0.124 0.667 0.457
Zn: 0.290 0.333 0.957
Zn: 0.710 0.667 0.043
Zn: 0.876 0.333 0.543

Top 10 peaks for 2θ = 10–90°, by angle:
23.12 deg, rel. 23.2
33.68 deg, rel. 19.6
34.64 deg, rel. 100.0
35.04 deg, rel. 44.5
40.27 deg, rel. 31.2
41.32 deg, rel. 48.2
54.43 deg, rel. 25.0
67.34 deg, rel. 11.7
68.71 deg, rel. 11.3
69.60 deg, rel. 12.9

# 9
The following is a computed powder XRD pattern of TmZn5. It was derived from a cell relaxed with PBE, using Cu Kα X-rays.

Unit cell a=8.894 b=8.894 c=8.984 alpha=90.00 beta=90.00 gamma=120.00
Element x y z (fractional)
Tm: 0.193 0.387 0.250
Tm: 0.193 0.807 0.250
Tm: 0.387 0.193 0.750
Tm: 0.613 0.807 0.250
Tm: 0.807 0.193 0.750
Tm: 0.807 0.613 0.750
Zn: 0.000 0.000 0.000
Zn: 0.000 0.000 0.500
Zn: 0.000 0.500 0.000
Zn: 0.000 0.500 0.500
Zn: 0.135 0.568 0.750
Zn: 0.159 0.318 0.591
Zn: 0.159 0.318 0.909
Zn: 0.159 0.841 0.591
Zn: 0.159 0.841 0.909
Zn: 0.318 0.159 0.091
Zn: 0.318 0.159 0.409
Zn: 0.333 0.667 0.016
Zn: 0.333 0.667 0.484
Zn: 0.432 0.568 0.750
Zn: 0.432 0.865 0.750
Zn: 0.500 0.000 0.000
Zn: 0.500 0.000 0.500
Zn: 0.500 0.500 0.000
Zn: 0.500 0.500 0.500
Zn: 0.568 0.135 0.250
Zn: 0.568 0.432 0.250
Zn: 0.667 0.333 0.516
Zn: 0.667 0.333 0.984
Zn: 0.682 0.841 0.591
Zn: 0.682 0.841 0.909
Zn: 0.841 0.159 0.091
Zn: 0.841 0.159 0.409
Zn: 0.841 0.682 0.091
Zn: 0.841 0.682 0.409
Zn: 0.865 0.432 0.250

Top 10 peaks for 2θ = 10–90°, by angle:
25.16 deg, rel. 18.7
30.58 deg, rel. 19.7
36.39 deg, rel. 46.2
36.79 deg, rel. 23.9
38.06 deg, rel. 100.0
40.15 deg, rel. 15.4
40.47 deg, rel. 18.6
40.57 deg, rel. 81.3
46.60 deg, rel. 13.4
72.15 deg, rel. 15.5

# 10
The following is a computed powder XRD pattern of U2Zn17. It was derived from a cell relaxed with PBE, using Cu Kα X-rays.

Unit cell a=8.993 b=8.993 c=8.805 alpha=90.00 beta=90.00 gamma=120.00
Element x y z (fractional)
U: 0.000 0.000 0.250
U: 0.000 0.000 0.750
U: 0.333 0.667 0.250
U: 0.667 0.333 0.750
Zn: 0.000 0.500 0.000
Zn: 0.000 0.500 0.500
Zn: 0.037 0.367 0.750
Zn: 0.037 0.671 0.750
Zn: 0.162 0.323 0.023
Zn: 0.162 0.323 0.477
Zn: 0.162 0.838 0.023
Zn: 0.162 0.838 0.477
Zn: 0.323 0.162 0.523
Zn: 0.323 0.162 0.977
Zn: 0.329 0.367 0.750
Zn: 0.329 0.963 0.750
Zn: 0.333 0.667 0.600
Zn: 0.333 0.667 0.900
Zn: 0.367 0.037 0.250
Zn: 0.367 0.329 0.250
Zn: 0.500 0.000 0.000
Zn: 0.500 0.000 0.500
Zn: 0.500 0.500 0.000
Zn: 0.500 0.500 0.500
Zn: 0.633 0.671 0.750
Zn: 0.633 0.963 0.750
Zn: 0.667 0.333 0.100
Zn: 0.667 0.333 0.400
Zn: 0.671 0.037 0.250
Zn: 0.671 0.633 0.250
Zn: 0.677 0.838 0.023
Zn: 0.677 0.838 0.477
Zn: 0.838 0.162 0.523
Zn: 0.838 0.162 0.977
Zn: 0.838 0.677 0.523
Zn: 0.838 0.677 0.977
Zn: 0.963 0.329 0.250
Zn: 0.963 0.633 0.250

Top 10 peaks for 2θ = 10–90°, by angle:
28.37 deg, rel. 44.5
34.55 deg, rel. 43.9
38.41 deg, rel. 36.0
40.10 deg, rel. 57.6
40.33 deg, rel. 100.0
41.00 deg, rel. 29.4
58.70 deg, rel. 18.1
65.82 deg, rel. 17.9
72.87 deg, rel. 17.6
74.24 deg, rel. 20.1